[1]
NaAgS2O3: computed powder diffractogram (Cu Kα (λ = 1.5418 Å)), based on DFT lattice parameters and positions (PBE).
Peak positions follow from Bragg's law for the DFT cell and can differ from measured ones.

Cell and atoms:
Lattice parameters (Å, degrees): 10.516 6.240 8.675 90.00 110.19 90.00
Atoms (fractional coordinates):
Na (0.059, 0.114, 0.345)
Na (0.059, 0.386, 0.845)
Na (0.941, 0.614, 0.155)
Na (0.941, 0.886, 0.655)
Ag (0.479, 0.585, 0.272)
Ag (0.479, 0.915, 0.772)
Ag (0.521, 0.085, 0.228)
Ag (0.521, 0.415, 0.728)
S (0.180, 0.606, 0.535)
S (0.180, 0.894, 0.035)
S (0.380, 0.681, 0.540)
S (0.380, 0.819, 0.040)
S (0.620, 0.181, 0.960)
S (0.620, 0.319, 0.460)
S (0.820, 0.106, 0.965)
S (0.820, 0.394, 0.465)
O (0.107, 0.688, 0.016)
O (0.107, 0.812, 0.516)
O (0.126, 0.028, 0.886)
O (0.126, 0.472, 0.386)
O (0.192, 0.007, 0.186)
O (0.192, 0.493, 0.686)
O (0.808, 0.507, 0.314)
O (0.808, 0.993, 0.814)
O (0.874, 0.528, 0.614)
O (0.874, 0.972, 0.114)
O (0.893, 0.188, 0.484)
O (0.893, 0.312, 0.984)

Principal peaks in the range 10 to 90 degrees two-theta, in order of rising 2θ:
| d [Å] | 2θ/deg | I_rel |
| --- | --- | --- |
| 4.942 | 17.9 | 100 |
| 4.326 | 20.5 | 60 |
| 3.863 | 23.0 | 68 |
| 3.289 | 27.1 | 49 |
| 2.533 | 35.4 | 40 |
| 2.382 | 37.8 | 42 |



[2]
Mg3Sn2Pd4: computed powder diffractogram (Cu Kα (λ = 1.5418 Å)), based on DFT lattice parameters and positions (PBE).
Peak positions follow from Bragg's law for the DFT cell and can differ from measured ones.

Cell and atoms:
Lattice parameters (Å, degrees): 4.572 4.572 8.725 90.13 90.13 60.08
Atoms (fractional coordinates):
Mg (0.000, 0.000, 0.000)
Mg (0.333, 0.333, 0.575)
Mg (0.667, 0.667, 0.425)
Sn (0.333, 0.333, 0.213)
Sn (0.667, 0.667, 0.787)
Pd (0.000, 0.000, 0.334)
Pd (0.000, 0.000, 0.666)
Pd (0.334, 0.334, 0.890)
Pd (0.666, 0.666, 0.110)

Principal peaks in the range 10 to 90 degrees two-theta, in order of rising 2θ:
| d [Å] | 2θ/deg | I_rel |
| --- | --- | --- |
| 3.607 | 24.7 | 39 |
| 2.344 | 38.4 | 100 |
| 2.287 | 39.4 | 95 |
| 1.638 | 56.1 | 22 |
| 1.332 | 70.7 | 22 |
| 1.320 | 71.4 | 16 |



[3]
Mg5Si9: computed powder diffractogram (Cu Kα (λ = 1.5418 Å)), based on DFT lattice parameters and positions (PBE).
Peak positions follow from Bragg's law for the DFT cell and can differ from measured ones.

Cell and atoms:
Lattice parameters (Å, degrees): 7.366 7.407 10.365 99.59 90.79 116.09
Atoms (fractional coordinates):
Mg (0.000, 0.000, 0.000)
Mg (0.005, 0.686, 0.603)
Mg (0.269, 0.474, 0.666)
Mg (0.276, 0.081, 0.501)
Mg (0.356, 0.933, 0.164)
Mg (0.432, 0.246, 0.946)
Mg (0.465, 0.784, 0.425)
Mg (0.519, 0.429, 0.253)
Mg (0.809, 0.255, 0.153)
Mg (0.960, 0.366, 0.886)
Si (0.015, 0.375, 0.412)
Si (0.074, 0.083, 0.735)
Si (0.077, 0.110, 0.281)
Si (0.079, 0.649, 0.283)
Si (0.202, 0.799, 0.854)
Si (0.223, 0.450, 0.116)
Si (0.384, 0.619, 0.941)
Si (0.448, 0.942, 0.693)
Si (0.592, 0.487, 0.533)
Si (0.600, 0.973, 0.934)
Si (0.642, 0.207, 0.388)
Si (0.659, 0.307, 0.694)
Si (0.694, 0.590, 0.865)
Si (0.719, 0.854, 0.199)
Si (0.720, 0.832, 0.724)
Si (0.831, 0.611, 0.087)
Si (0.851, 0.131, 0.569)
Si (0.876, 0.837, 0.404)

Principal peaks in the range 10 to 90 degrees two-theta, in order of rising 2θ:
| d [Å] | 2θ/deg | I_rel |
| --- | --- | --- |
| 2.558 | 35.1 | 95 |
| 2.538 | 35.4 | 87 |
| 2.491 | 36.1 | 96 |
| 2.437 | 36.9 | 90 |
| 2.367 | 38.0 | 54 |
| 2.262 | 39.8 | 100 |